Record 1
This entry pairs a crystal structure of UGeIr with its calculated X-ray diffraction stick pattern. Radiation: λ = 1.5418 Å (Cu Kα). Structure: a GGA-PBE-relaxed structure.

Peak list (10 most intense, 2θ from 10° to 80°, in order of rising 2θ)
index	d/Å	I (rel.)
1 2 2	2.647	26
0 4 2	2.528	43
1 4 1	2.518	100
1 0 3	2.204	55
2 0 0	2.184	35
0 8 0	1.684	13
2 4 2	1.653	24
1 6 4	1.382	14
2 8 0	1.334	16
3 4 1	1.317	14

Cell: 4.368 13.467 7.657 Å, 90.00 90.00 90.00°
Space group Pmmn (No. 59, origin choice 2)
Inequivalent atoms, fractional coordinates:
1 U 0.250 0.003 0.213 (multiplicity 4)
2 U 0.250 0.250 0.293 (multiplicity 2)
3 U 0.250 0.750 0.295 (multiplicity 2)
4 Ge 0.250 0.103 0.588 (multiplicity 4)
5 Ge 0.250 0.651 0.915 (multiplicity 4)
6 Ir 0.250 0.134 0.918 (multiplicity 4)
7 Ir 0.250 0.605 0.586 (multiplicity 4)

Record 2
This entry pairs a crystal structure of TbEuAu with its calculated X-ray diffraction stick pattern. Radiation: λ = 1.5418 Å (Cu Kα). Structure: a GGA-PBE-relaxed structure.

Peak list (10 most intense, 2θ from 10° to 80°, in order of rising 2θ)
index	d/Å	I (rel.)
0 0 2	6.492	23
1 0 3	2.814	100
1 1 0	2.619	53
1 1 2	2.429	9
1 0 5	2.126	22
2 0 0	1.852	19
1 1 6	1.668	9
2 1 3	1.547	33
2 1 5	1.397	12
1 1 8	1.380	9

Cell: 3.704 3.704 12.984 Å, 90.00 90.00 90.00°
Space group I4mm (No. 107)
Inequivalent atoms, fractional coordinates:
1 Tb 0.000 0.000 0.000 (multiplicity 2)
2 Eu 0.000 0.000 0.728 (multiplicity 2)
3 Au 0.000 0.000 0.386 (multiplicity 2)

Record 3
This entry pairs a crystal structure of Y2TlAg with its calculated X-ray diffraction stick pattern. Radiation: λ = 1.5418 Å (Cu Kα). Structure: a GGA-PBE-relaxed structure.

Peak list (10 most intense, 2θ from 10° to 80°, in order of rising 2θ)
index	d/Å	I (rel.)
1 1 1	4.307	7
2 0 0	3.730	8
2 2 0	2.637	100
3 1 1	2.249	4
2 2 2	2.153	3
4 0 0	1.865	18
3 3 1	1.711	2
4 2 0	1.668	4
4 2 2	1.523	36
4 4 0	1.319	11

Cell: 7.460 7.460 7.460 Å, 90.00 90.00 90.00°
Space group Fm-3m (No. 225)
Inequivalent atoms, fractional coordinates:
1 Y 0.250 0.250 0.250 (multiplicity 8)
2 Tl 0.000 0.000 0.000 (multiplicity 4)
3 Ag 0.000 0.000 0.500 (multiplicity 4)

Record 4
This entry pairs a crystal structure of Sc6Co7 with its calculated X-ray diffraction stick pattern. Radiation: λ = 1.5418 Å (Cu Kα). Structure: a GGA-PBE-relaxed structure.

Peak list (10 most intense, 2θ from 10° to 80°, in order of rising 2θ)
index	d/Å	I (rel.)
1 1 0	2.486	33
1 0 10	2.328	50
0 0 12	2.305	34
1 1 6	2.189	100
0 1 11	2.172	57
0 2 1	2.147	57
0 2 4	2.056	39
2 0 5	2.007	90
0 2 7	1.891	29
2 2 0	1.243	36

Cell: 4.9729 4.9729 27.6657 Å, 90.00 90.00 120.00°
Space group R-3m (No. 166, hexagonal axes)
Inequivalent atoms, fractional coordinates:
1 Sc 0.0000 0.0000 0.0536 (multiplicity 6)
2 Sc 0.0000 0.0000 0.1542 (multiplicity 6)
3 Sc 0.0000 0.0000 0.3342 (multiplicity 6)
4 Co 0.0000 0.0000 0.5000 (multiplicity 3)
5 Co 0.0032 0.5016 0.9058 (multiplicity 18)

Record 5
This entry pairs a crystal structure of Ti2Ag2As with its calculated X-ray diffraction stick pattern. Radiation: λ = 1.5418 Å (Cu Kα). Structure: a GGA-PBE-relaxed structure.

Peak list (10 most intense, 2θ from 10° to 80°, in order of rising 2θ)
index	d/Å	I (rel.)
1 1 1	3.184	25
2 1 0	2.917	14
2 0 1	2.621	16
2 1 1	2.432	100
0 0 2	2.201	24
3 1 0	2.063	33
3 1 2	1.505	23
4 1 1	1.489	7
3 3 1	1.452	7
2 1 3	1.311	16

Cell: 6.523 6.523 4.402 Å, 90.00 90.00 90.00°
Space group P4/mbm (No. 127)
Inequivalent atoms, fractional coordinates:
1 Ti 0.146 0.354 0.000 (multiplicity 4)
2 Ag 0.151 0.651 0.500 (multiplicity 4)
3 As 0.000 0.000 0.000 (multiplicity 2)

Record 6
This entry pairs a crystal structure of Cu5As2Pd12 with its calculated X-ray diffraction stick pattern. Radiation: λ = 1.5418 Å (Cu Kα). Structure: a GGA-PBE-relaxed structure.

Peak list (10 most intense, 2θ from 10° to 80°, in order of rising 2θ)
index	d/Å	I (rel.)
2 0 -2	2.608	5
4 2 1	2.215	100
5 1 -1	2.204	8
0 4 0	2.097	26
6 0 -1	1.945	12
2 0 3	1.758	11
6 4 -1	1.426	8
2 4 3	1.347	9
4 0 -4	1.304	6
4 6 1	1.232	13

Cell: 12.190 8.388 5.621 Å, 90.00 93.49 90.00°
Space group C2/m (No. 12)
Inequivalent atoms, fractional coordinates:
1 Cu 0.000 0.000 0.000 (multiplicity 2)
2 Cu 0.183 0.500 0.395 (multiplicity 4)
3 Cu 0.235 0.000 0.016 (multiplicity 4)
4 As 0.000 0.246 0.500 (multiplicity 4)
5 Pd 0.045 0.500 0.758 (multiplicity 4)
6 Pd 0.101 0.267 0.122 (multiplicity 8)
7 Pd 0.115 0.000 0.412 (multiplicity 4)
8 Pd 0.189 0.252 0.699 (multiplicity 8)

Record 7
This entry pairs a crystal structure of Pu8Se5S3 with its calculated X-ray diffraction stick pattern. Radiation: λ = 1.5418 Å (Cu Kα). Structure: a GGA-PBE-relaxed structure.

Peak list (10 most intense, 2θ from 10° to 80°, in order of rising 2θ)
index	d/Å	I (rel.)
2 0 2	3.333	63
0 2 4	2.887	100
2 0 5	2.649	3
2 2 0	2.041	75
0 4 2	1.741	31
4 0 4	1.667	26
0 4 8	1.443	12
4 0 10	1.325	6
4 2 2	1.324	7
2 4 4	1.291	34

Cell: 8.1609 8.1609 20.0215 Å, 90.00 90.00 120.00°
Space group R-3m (No. 166, hexagonal axes)
Inequivalent atoms, fractional coordinates:
1 Pu 0.0000 0.0000 0.2449 (multiplicity 6)
2 Pu 0.0071 0.5035 0.7535 (multiplicity 18)
3 Se 0.0000 0.0000 0.0000 (multiplicity 3)
4 Se 0.0000 0.0000 0.5000 (multiplicity 3)
5 Se 0.0000 0.5000 0.0000 (multiplicity 9)
6 S 0.0000 0.5000 0.5000 (multiplicity 9)

Record 8
This entry pairs a crystal structure of AcP4Ru4 with its calculated X-ray diffraction stick pattern. Radiation: λ = 1.5418 Å (Cu Kα). Structure: a GGA-PBE-relaxed structure.

Peak list (10 most intense, 2θ from 10° to 80°, in order of rising 2θ)
index	d/Å	I (rel.)
1 0 2	3.307	16
1 1 2	2.896	24
2 0 1	2.806	14
2 1 1	2.541	100
1 0 3	2.418	40
2 0 3	1.982	14
3 2 1	1.628	15
3 0 3	1.595	20
4 0 0	1.500	14
2 2 4	1.448	22

Cell: 6.000 6.000 7.926 Å, 90.00 90.00 90.00°
Space group P4_2/nmc (No. 137, origin choice 2)
Inequivalent atoms, fractional coordinates:
1 Ac 0.250 0.750 0.250 (multiplicity 2)
2 P 0.046 0.250 0.079 (multiplicity 8)
3 Ru 0.020 0.250 0.377 (multiplicity 8)

Record 9
This entry pairs a crystal structure of Ac4ThSe5 with its calculated X-ray diffraction stick pattern. Radiation: λ = 1.5418 Å (Cu Kα). Structure: a GGA-PBE-relaxed structure.

Peak list (10 most intense, 2θ from 10° to 80°, in order of rising 2θ)
index	d/Å	I (rel.)
1 1 0	3.602	41
0 2 0	3.119	100
2 0 0	2.206	77
1 3 0	1.882	15
2 2 0	1.801	27
2 0 10	1.559	8
3 1 0	1.432	8
3 0 5	1.395	30
2 4 0	1.274	18
1 2 15	1.272	8

Cell: 4.412 6.247 22.025 Å, 90.00 90.00 90.00°
Space group Immm (No. 71)
Inequivalent atoms, fractional coordinates:
1 Ac 0.000 0.000 0.099 (multiplicity 4)
2 Ac 0.000 0.000 0.305 (multiplicity 4)
3 Th 0.000 0.000 0.500 (multiplicity 2)
4 Se 0.000 0.500 0.094 (multiplicity 4)
5 Se 0.000 0.500 0.298 (multiplicity 4)
6 Se 0.000 0.500 0.500 (multiplicity 2)

Record 10
This entry pairs a crystal structure of Mn3Fe9Co with its calculated X-ray diffraction stick pattern. Radiation: λ = 1.5418 Å (Cu Kα). Structure: a GGA-PBE-relaxed structure.

Peak list (6 most intense, 2θ from 10° to 80°, in order of rising 2θ)
index	d/Å	I (rel.)
0 1 3	2.008	25
0 3 -4	2.003	25
1 2 -2	1.998	100
1 1 -5	1.418	7
1 3 1	1.416	7
1 -5 3	1.411	7

Cell: 2.444 8.356 8.391 Å, 118.92 95.68 95.46°
Space group P1 (No. 1)
Inequivalent atoms, fractional coordinates:
1 Mn 0.000 0.000 0.000 (multiplicity 1)
2 Mn 0.241 0.546 0.150 (multiplicity 1)
3 Mn 0.622 0.773 0.074 (multiplicity 1)
4 Fe 0.083 0.850 0.382 (multiplicity 1)
5 Fe 0.161 0.695 0.767 (multiplicity 1)
6 Fe 0.389 0.236 0.922 (multiplicity 1)
7 Fe 0.467 0.080 0.305 (multiplicity 1)
8 Fe 0.543 0.927 0.692 (multiplicity 1)
9 Fe 0.695 0.618 0.457 (multiplicity 1)
10 Fe 0.772 0.466 0.844 (multiplicity 1)
11 Fe 0.852 0.311 0.227 (multiplicity 1)
12 Fe 0.931 0.158 0.613 (multiplicity 1)
13 Co 0.313 0.388 0.535 (multiplicity 1)

Record 11
This entry pairs a crystal structure of K2Tc3Se6 with its calculated X-ray diffraction stick pattern. Radiation: λ = 1.5418 Å (Cu Kα). Structure: a GGA-PBE-relaxed structure.

Peak list (10 most intense, 2θ from 10° to 80°, in order of rising 2θ)
index	d/Å	I (rel.)
2 0 0	8.722	100
1 1 -1	7.252	84
1 1 1	7.154	95
0 0 2	6.250	17
2 2 3	3.006	19
1 1 -4	2.956	27
3 3 -1	2.869	27
4 2 -5	2.018	28
8 2 -1	1.988	15
4 0 6	1.859	16

Cell: 17.450 10.213 12.504 Å, 90.00 91.65 90.00°
Space group C2/c (No. 15)
Inequivalent atoms, fractional coordinates:
1 K 0.000 0.104 0.250 (multiplicity 4)
2 K 0.000 0.284 0.750 (multiplicity 4)
3 K 0.115 0.262 0.017 (multiplicity 8)
4 Tc 0.160 0.344 0.474 (multiplicity 8)
5 Tc 0.209 0.109 0.419 (multiplicity 8)
6 Tc 0.209 0.179 0.625 (multiplicity 8)
7 Se 0.032 0.465 0.419 (multiplicity 8)
8 Se 0.085 0.137 0.518 (multiplicity 8)
9 Se 0.148 0.086 0.804 (multiplicity 8)
10 Se 0.164 0.408 0.669 (multiplicity 8)
11 Se 0.165 0.277 0.280 (multiplicity 8)
12 Se 0.243 0.459 0.932 (multiplicity 8)